# 1
Structure and computed X-ray diffraction stick pattern of NdDyTl4 (a structure optimized by DFT (GGA-PBE); CuKα).

Top 10 peaks for 10° ≤ 2θ ≤ 80°, low angle first:
- 30.7 deg, rel. 100
- 35.5 deg, rel. 24
- 35.7 deg, rel. 46
- 47.6 deg, rel. 20
- 48.0 deg, rel. 10
- 51.1 deg, rel. 17
- 60.8 deg, rel. 10
- 61.1 deg, rel. 19
- 63.9 deg, rel. 20
- 75.7 deg, rel. 10

Unit cell a=3.912 b=5.061 c=8.681 alpha=90.00 beta=90.23 gamma=90.00
Positions (direct):
Nd (0.000, 0.000, 0.000)
Dy (0.018, 0.500, 0.488)
Tl (0.347, 0.000, 0.662)
Tl (0.392, 0.500, 0.160)
Tl (0.645, 0.000, 0.337)
Tl (0.648, 0.500, 0.818)



# 2
Structure and computed X-ray diffraction stick pattern of Ca8InSn2 (a structure optimized by DFT (GGA-PBE); CuKα).

Top 10 peaks for 10° ≤ 2θ ≤ 80°, low angle first:
- 18.5 deg, rel. 31
- 19.6 deg, rel. 30
- 20.1 deg, rel. 41
- 22.4 deg, rel. 28
- 29.2 deg, rel. 32
- 30.4 deg, rel. 21
- 30.6 deg, rel. 21
- 31.8 deg, rel. 74
- 33.1 deg, rel. 100
- 37.5 deg, rel. 23

Unit cell a=9.761 b=9.761 c=7.692 alpha=110.02 beta=110.02 gamma=32.18
Positions (direct):
Ca (0.024, 0.024, 0.278)
Ca (0.194, 0.194, 0.779)
Ca (0.337, 0.337, 0.558)
Ca (0.401, 0.401, 0.054)
Ca (0.599, 0.599, 0.946)
Ca (0.663, 0.663, 0.442)
Ca (0.806, 0.806, 0.221)
Ca (0.976, 0.976, 0.722)
In (0.500, 0.500, 0.500)
Sn (0.185, 0.185, 0.191)
Sn (0.815, 0.815, 0.809)



# 3
Structure and computed X-ray diffraction stick pattern of Sc2InHg3 (a structure optimized by DFT (GGA-PBE); CuKα).

Top 10 peaks for 10° ≤ 2θ ≤ 80°, low angle first:
- 24.6 deg, rel. 15
- 25.5 deg, rel. 26
- 34.2 deg, rel. 26
- 35.1 deg, rel. 20
- 35.7 deg, rel. 100
- 37.5 deg, rel. 27
- 42.0 deg, rel. 15
- 52.3 deg, rel. 13
- 57.6 deg, rel. 12
- 66.5 deg, rel. 16

Unit cell a=4.798 b=8.883 c=6.256 alpha=90.00 beta=90.00 gamma=90.00
Positions (direct):
Sc (0.000, 0.163, 0.000)
Sc (0.000, 0.837, 0.500)
Sc (0.500, 0.333, 0.623)
Sc (0.500, 0.667, 0.123)
In (0.000, 0.496, 0.345)
In (0.000, 0.504, 0.845)
Hg (0.000, 0.165, 0.492)
Hg (0.000, 0.835, 0.992)
Hg (0.500, 0.006, 0.772)
Hg (0.500, 0.333, 0.121)
Hg (0.500, 0.667, 0.621)
Hg (0.500, 0.994, 0.272)



# 4
Structure and computed X-ray diffraction stick pattern of PmTm3Ga4 (a structure optimized by DFT (GGA-PBE); CuKα).

Top 7 peaks for 10° ≤ 2θ ≤ 80°, low angle first:
- 25.0 deg, rel. 18
- 35.7 deg, rel. 100
- 44.0 deg, rel. 5
- 51.3 deg, rel. 18
- 57.9 deg, rel. 7
- 64.0 deg, rel. 36
- 75.5 deg, rel. 11

Unit cell a=5.038 b=5.038 c=7.119 alpha=90.00 beta=90.00 gamma=90.00
Positions (direct):
Pm (0.000, 0.000, 0.000)
Tm (0.000, 0.000, 0.500)
Tm (0.500, 0.500, 0.000)
Tm (0.500, 0.500, 0.500)
Ga (0.000, 0.500, 0.259)
Ga (0.000, 0.500, 0.741)
Ga (0.500, 0.000, 0.259)
Ga (0.500, 0.000, 0.741)